# 1
Structure and theoretical powder XRD pattern of TbMgNO (a cell relaxed with GGA-PBE; Cu Kα (weighted mean of Kα1 and Kα2)).
Intensities are scaled so that the largest is 100.

Structural model:
```
data_TbMgNO
_cell_length_a 5.8840
_cell_length_b 7.6728
_cell_length_c 5.0288
_cell_angle_alpha 90.00
_cell_angle_beta 90.00
_cell_angle_gamma 90.00
_space_group_name_H-M_alt 'P c a 21'
_space_group_IT_number 29
_space_group_name_Hall 'P 2c -2ac'
loop_
_atom_site_label
_atom_site_type_symbol
_atom_site_fract_x
_atom_site_fract_y
_atom_site_fract_z
_atom_site_occupancy
Tb1 Tb 0.0540 0.1438 0.0000 1
Mg1 Mg 0.0773 0.6096 0.9753 1
N1 N 0.0608 0.1428 0.5241 1
O1 O 0.1007 0.5945 0.5793 1
```

The 6 most intense peaks (10 to 90 degrees two-theta), by intensity:
2θ = 33.1°, I = 100; 2θ = 26.0°, I = 87; 2θ = 11.5°, I = 72; 2θ = 35.7°, I = 41; 2θ = 30.4°, I = 36; 2θ = 27.8°, I = 23

***

# 2
Structure and theoretical powder XRD pattern of GdErIn2Ni4 (a cell relaxed with GGA-PBE; Cu Kα (weighted mean of Kα1 and Kα2)).
Intensities are scaled so that the largest is 100.

Structural model:
```
data_GdErIn2Ni4
_cell_length_a 4.0178
_cell_length_b 5.0954
_cell_length_c 7.0071
_cell_angle_alpha 90.00
_cell_angle_beta 90.00
_cell_angle_gamma 90.00
_space_group_name_H-M_alt 'P m m 2'
_space_group_IT_number 25
_space_group_name_Hall 'P 2 -2'
loop_
_atom_site_label
_atom_site_type_symbol
_atom_site_fract_x
_atom_site_fract_y
_atom_site_fract_z
_atom_site_occupancy
Gd1 Gd 0.0000 0.0000 0.0000 1
Er1 Er 0.0000 0.5000 0.4663 1
In1 In 0.5000 0.0000 0.3766 1
In2 In 0.5000 0.5000 0.0887 1
Ni1 Ni 0.0000 0.0000 0.6170 1
Ni2 Ni 0.0000 0.5000 0.8439 1
Ni3 Ni 0.5000 0.2525 0.7290 1
```

The 6 most intense peaks (10 to 90 degrees two-theta), by intensity:
2θ = 31.1°, I = 100; 2θ = 38.4°, I = 59; 2θ = 44.0°, I = 51; 2θ = 45.1°, I = 34; 2θ = 42.6°, I = 32; 2θ = 35.2°, I = 32